No. 1
Th2SnPN5: simulated X-ray diffraction stick pattern (Cu Kα), based on a crystal structure in Alexandria, relaxed with PBE.
Neutral-atom scattering factors, no anomalous dispersion.

Peak list (12 most intense, 10° ≤ 2θ ≤ 80°, low angle first)
2θ 15.8, rel. 525, (0 0 1); 2θ 29.2, rel. 384, (2 1 0); 2θ 30.6, rel. 1000, (2 0 1); 2θ 31.9, rel. 360, (0 0 2); 2θ 33.3, rel. 767, (2 1 1); 2θ 37.1, rel. 213, (2 2 0); 2θ 41.7, rel. 199, (3 1 0); 2θ 43.7, rel. 432, (2 1 2); 2θ 49.7, rel. 185, (2 2 2); 2θ 56.0, rel. 190, (2 0 3); 2θ 57.9, rel. 291, (4 1 1); 2θ 65.2, rel. 204, (4 1 2)

Atomic structure:
```
data_Th2SnPN5
_chemical_formula_sum 'Th4 Sn2 P2 N10'
_symmetry_space_group_name_H-M 'P 4/m b m'
_symmetry_Int_Tables_number 127
_symmetry_space_group_name_Hall '-P 4 2ab'
_cell_length_a 6.8500
_cell_length_b 6.8500
_cell_length_c 5.6174
_cell_angle_alpha 90.00
_cell_angle_beta 90.00
_cell_angle_gamma 90.00
loop_
_atom_site_label
_atom_site_type_symbol
_atom_site_fract_x
_atom_site_fract_y
_atom_site_fract_z
Th1 Th 0.1846 0.3154 0.0000
Sn1 Sn 0.0000 0.0000 0.5000
P1 P 0.0000 0.5000 0.5000
N1 N 0.0000 0.0000 0.0000
N2 N 0.1250 0.6250 0.2779
```



No. 2
Sr8P2N3: simulated X-ray diffraction stick pattern (Cu Kα), based on a crystal structure in Alexandria, relaxed with PBE.
Neutral-atom scattering factors, no anomalous dispersion.

Peak list (12 most intense, 10° ≤ 2θ ≤ 80°, low angle first)
2θ 12.5, rel. 276, (2 0 0); 2θ 25.2, rel. 486, (4 0 0); 2θ 26.5, rel. 322, (2 0 -2); 2θ 26.6, rel. 892, (0 2 1); 2θ 31.0, rel. 385, (4 0 -2); 2θ 31.4, rel. 559, (2 2 1); 2θ 33.6, rel. 1000, (4 2 -1); 2θ 34.2, rel. 502, (2 0 2); 2θ 40.1, rel. 176, (4 2 1); 2θ 46.3, rel. 218, (0 4 0); 2θ 46.3, rel. 417, (2 2 -3); 2θ 51.1, rel. 237, (6 2 1)

Atomic structure:
```
data_Sr8P2N3
_chemical_formula_sum 'Sr16 P4 N6'
_symmetry_space_group_name_H-M 'C 1 2/m 1'
_symmetry_Int_Tables_number 12
_cell_length_a 14.9192
_cell_length_b 7.8510
_cell_length_c 6.7889
_cell_angle_alpha 90.00
_cell_angle_beta 108.93
_cell_angle_gamma 90.00
loop_
_symmetry_equiv_pos_as_xyz
'x,y,z'
'-x,-y,-z'
'-x,y,-z'
'x,-y,z'
'x+1/2,y+1/2,z'
'-x+1/2,-y+1/2,-z'
'-x+1/2,y+1/2,-z'
'x+1/2,-y+1/2,z'
loop_
_atom_site_label
_atom_site_type_symbol
_atom_site_fract_x
_atom_site_fract_y
_atom_site_fract_z
Sr1 Sr 0.0967 0.0000 0.4048
Sr2 Sr 0.1048 0.5000 0.4400
Sr3 Sr 0.1068 0.2286 0.8982
P1 P 0.2370 0.5000 0.1775
N1 N 0.0000 0.0000 0.0000
N2 N 0.0000 0.2562 0.5000
```